[1]
Diffraction record for Fe2CoO4. The powder diffractogram is calculated, not measured: it uses a DFT-relaxed cell (PBE+U, the Materials Project) and Cu Ka.
No peak broadening, texture or thermal motion is included.

Largest 10 diffraction maxima, sorted by position, 2θ from 5° to 70°:
- 2θ 18.0, I 13
- 2θ 29.6, I 36
- 2θ 34.9, I 100
- 2θ 35.0, I 35
- 2θ 36.5, I 9
- 2θ 42.4, I 29
- 2θ 52.5, I 10
- 2θ 56.0, I 34
- 2θ 61.4, I 31
- 2θ 61.6, I 30

Crystal structure
Cell: 6.039 6.039 14.729 Å, 90.00 90.00 120.00°
Fractional positions:
1 Fe 0.003 0.336 0.290
2 Fe 0.166 0.667 0.499
3 Fe 0.333 0.499 0.833
4 Fe 0.334 0.997 0.957
5 Fe 0.336 0.003 0.710
6 Fe 0.499 0.333 0.167
7 Fe 0.501 0.834 0.166
8 Fe 0.664 0.666 0.624
9 Fe 0.666 0.664 0.376
10 Fe 0.667 0.166 0.501
11 Fe 0.834 0.501 0.834
12 Fe 0.997 0.334 0.043
13 Co 0.000 0.330 0.667
14 Co 0.000 0.833 0.167
15 Co 0.167 0.167 0.500
16 Co 0.330 0.000 0.333
17 Co 0.670 0.670 0.000
18 Co 0.833 0.000 0.833
19 O 0.005 0.343 0.911
20 O 0.012 0.833 0.420
21 O 0.160 0.652 0.756
22 O 0.167 0.179 0.754
23 O 0.179 0.167 0.246
24 O 0.182 0.683 0.247
25 O 0.317 0.499 0.580
26 O 0.338 0.995 0.577
27 O 0.343 0.005 0.089
28 O 0.348 0.507 0.089
29 O 0.493 0.840 0.422
30 O 0.499 0.317 0.420
31 O 0.501 0.818 0.913
32 O 0.507 0.348 0.911
33 O 0.652 0.160 0.244
34 O 0.657 0.662 0.244
35 O 0.662 0.657 0.756
36 O 0.683 0.182 0.753
37 O 0.818 0.501 0.087
38 O 0.821 0.988 0.087
39 O 0.833 0.012 0.580
40 O 0.840 0.493 0.578
41 O 0.988 0.821 0.913
42 O 0.995 0.338 0.423

=====

[2]
Diffraction record for FeCo3O8. The powder diffractogram is calculated, not measured: it uses a DFT-relaxed cell (PBE+U, the Materials Project) and Cu Ka.
No peak broadening, texture or thermal motion is included.

Largest 10 diffraction maxima, sorted by position, 2θ from 5° to 70°:
- 2θ 18.9, I 100
- 2θ 19.0, I 32
- 2θ 36.5, I 8
- 2θ 36.6, I 11
- 2θ 36.9, I 12
- 2θ 37.1, I 8
- 2θ 44.4, I 21
- 2θ 44.7, I 21
- 2θ 45.1, I 20
- 2θ 65.2, I 16

Crystal structure
Cell: 8.039 8.112 8.159 Å, 89.72 89.99 89.67°
Fractional positions:
1 Fe 0.000 0.000 0.000
2 Fe 0.250 0.250 0.499
3 Fe 0.500 0.750 0.246
4 Fe 0.750 0.499 0.750
5 Co 0.002 0.750 0.743
6 Co 0.243 0.497 0.241
7 Co 0.248 0.741 0.991
8 Co 0.250 0.994 0.747
9 Co 0.491 0.492 0.000
10 Co 0.500 0.244 0.753
11 Co 0.505 0.999 0.504
12 Co 0.742 0.246 0.003
13 Co 0.749 0.006 0.258
14 Co 0.753 0.756 0.500
15 Co 0.994 0.251 0.250
16 Co 0.998 0.503 0.495
17 O 0.010 0.268 0.483
18 O 0.011 0.483 0.261
19 O 0.013 0.764 0.978
20 O 0.022 0.980 0.744
21 O 0.231 0.486 0.480
22 O 0.233 0.262 0.264
23 O 0.236 0.759 0.761
24 O 0.240 0.980 0.976
25 O 0.248 0.725 0.220
26 O 0.257 0.506 0.008
27 O 0.264 0.234 0.732
28 O 0.265 0.014 0.514
29 O 0.474 0.500 0.226
30 O 0.478 0.721 0.999
31 O 0.484 0.013 0.736
32 O 0.486 0.234 0.516
33 O 0.509 0.259 0.987
34 O 0.510 0.475 0.766
35 O 0.518 0.997 0.276
36 O 0.524 0.771 0.497
37 O 0.728 0.244 0.773
38 O 0.731 0.476 0.987
39 O 0.738 0.990 0.491
40 O 0.750 0.776 0.271
41 O 0.758 0.238 0.238
42 O 0.759 0.017 0.022
43 O 0.767 0.518 0.513
44 O 0.772 0.750 0.730
45 O 0.981 0.024 0.250
46 O 0.982 0.238 0.019
47 O 0.988 0.516 0.731
48 O 0.989 0.733 0.509

=====

[3]
Diffraction record for Fe3Co5O16. The powder diffractogram is calculated, not measured: it uses a DFT-relaxed cell (PBE+U, the Materials Project) and Cu Ka.
No peak broadening, texture or thermal motion is included.

Largest 10 diffraction maxima, sorted by position, 2θ from 5° to 70°:
- 2θ 18.0, I 100
- 2θ 35.8, I 10
- 2θ 36.5, I 23
- 2θ 42.8, I 14
- 2θ 44.0, I 27
- 2θ 47.4, I 5
- 2θ 56.1, I 5
- 2θ 57.4, I 10
- 2θ 62.2, I 6
- 2θ 63.9, I 7

Crystal structure
Cell: 5.241 2.868 19.160 Å, 90.00 95.08 90.00°
Fractional positions:
1 Fe 0.000 0.000 0.000
2 Fe 0.142 0.500 0.870
3 Fe 0.858 0.500 0.130
4 Co 0.262 0.000 0.745
5 Co 0.376 0.500 0.622
6 Co 0.500 0.000 0.500
7 Co 0.624 0.500 0.378
8 Co 0.738 0.000 0.255
9 O 0.003 0.000 0.811
10 O 0.123 0.500 0.688
11 O 0.144 0.500 0.057
12 O 0.246 0.000 0.565
13 O 0.278 0.000 0.928
14 O 0.370 0.500 0.442
15 O 0.403 0.500 0.798
16 O 0.492 0.000 0.320
17 O 0.508 0.000 0.680
18 O 0.597 0.500 0.202
19 O 0.630 0.500 0.558
20 O 0.722 0.000 0.072
21 O 0.754 0.000 0.435
22 O 0.856 0.500 0.943
23 O 0.877 0.500 0.312
24 O 0.997 0.000 0.189

=====

[4]
Diffraction record for FeCo9O20. The powder diffractogram is calculated, not measured: it uses a DFT-relaxed cell (PBE+U, the Materials Project) and Cu Ka.
No peak broadening, texture or thermal motion is included.

Largest 10 diffraction maxima, sorted by position, 2θ from 5° to 70°:
- 2θ 18.4, I 100
- 2θ 36.9, I 10
- 2θ 37.1, I 20
- 2θ 38.6, I 7
- 2θ 44.2, I 14
- 2θ 44.5, I 14
- 2θ 44.7, I 14
- 2θ 57.9, I 5
- 2θ 58.3, I 5
- 2θ 65.5, I 8

Crystal structure
Cell: 4.923 7.528 9.793 Å, 80.39 85.72 71.15°
Fractional positions:
1 Fe 0.000 0.000 0.000
2 Co 0.100 0.300 0.500
3 Co 0.202 0.598 0.999
4 Co 0.300 0.900 0.500
5 Co 0.399 0.204 0.002
6 Co 0.500 0.500 0.500
7 Co 0.601 0.796 0.998
8 Co 0.700 0.100 0.500
9 Co 0.798 0.402 0.001
10 Co 0.900 0.700 0.500
11 O 0.029 0.080 0.596
12 O 0.071 0.228 0.902
13 O 0.128 0.382 0.097
14 O 0.171 0.520 0.404
15 O 0.229 0.680 0.596
16 O 0.290 0.806 0.897
17 O 0.333 0.978 0.097
18 O 0.370 0.120 0.404
19 O 0.430 0.280 0.596
20 O 0.470 0.421 0.903
21 O 0.530 0.579 0.097
22 O 0.570 0.720 0.404
23 O 0.630 0.880 0.596
24 O 0.667 0.022 0.903
25 O 0.710 0.194 0.103
26 O 0.771 0.320 0.404
27 O 0.829 0.480 0.596
28 O 0.872 0.618 0.903
29 O 0.929 0.772 0.098
30 O 0.971 0.920 0.404

=====

[5]
Diffraction record for FeCo3O8. The powder diffractogram is calculated, not measured: it uses a DFT-relaxed cell (PBE+U, the Materials Project) and Cu Ka.
No peak broadening, texture or thermal motion is included.

Largest 10 diffraction maxima, sorted by position, 2θ from 5° to 70°:
- 2θ 19.2, I 100
- 2θ 37.3, I 35
- 2θ 39.0, I 11
- 2θ 45.3, I 47
- 2θ 49.7, I 8
- 2θ 60.1, I 11
- 2θ 60.1, I 5
- 2θ 66.0, I 16
- 2θ 66.1, I 8
- 2θ 69.5, I 9

Crystal structure
Cell: 7.993 8.005 8.007 Å, 89.96 89.96 89.92°
Fractional positions:
1 Fe 0.000 0.000 0.000
2 Fe 0.250 0.250 0.500
3 Fe 0.500 0.751 0.250
4 Fe 0.750 0.500 0.750
5 Co 0.000 0.500 0.500
6 Co 0.000 0.750 0.750
7 Co 0.001 0.249 0.250
8 Co 0.249 0.001 0.750
9 Co 0.250 0.751 0.001
10 Co 0.251 0.500 0.251
11 Co 0.499 0.000 0.500
12 Co 0.500 0.251 0.750
13 Co 0.501 0.501 0.000
14 Co 0.749 0.750 0.500
15 Co 0.750 0.000 0.249
16 Co 0.751 0.251 0.999
17 O 0.013 0.765 0.986
18 O 0.013 0.986 0.765
19 O 0.015 0.264 0.486
20 O 0.018 0.482 0.268
21 O 0.232 0.768 0.768
22 O 0.235 0.987 0.986
23 O 0.236 0.485 0.487
24 O 0.238 0.264 0.265
25 O 0.263 0.016 0.514
26 O 0.263 0.237 0.735
27 O 0.265 0.736 0.237
28 O 0.268 0.518 0.018
29 O 0.482 0.019 0.732
30 O 0.485 0.236 0.514
31 O 0.486 0.737 0.015
32 O 0.488 0.516 0.236
33 O 0.513 0.764 0.485
34 O 0.513 0.985 0.263
35 O 0.515 0.487 0.764
36 O 0.518 0.269 0.982
37 O 0.732 0.982 0.482
38 O 0.735 0.764 0.264
39 O 0.736 0.265 0.763
40 O 0.738 0.487 0.984
41 O 0.763 0.735 0.736
42 O 0.764 0.514 0.515
43 O 0.765 0.015 0.013
44 O 0.768 0.233 0.232
45 O 0.982 0.732 0.518
46 O 0.985 0.514 0.736
47 O 0.986 0.013 0.235
48 O 0.988 0.235 0.014

=====

[6]
Diffraction record for FeCo2O6. The powder diffractogram is calculated, not measured: it uses a DFT-relaxed cell (PBE+U, the Materials Project) and Cu Ka.
No peak broadening, texture or thermal motion is included.

Largest 10 diffraction maxima, sorted by position, 2θ from 5° to 70°:
- 2θ 18.5, I 100
- 2θ 36.3, I 11
- 2θ 36.4, I 22
- 2θ 38.0, I 8
- 2θ 43.9, I 15
- 2θ 44.1, I 30
- 2θ 48.2, I 9
- 2θ 58.2, I 10
- 2θ 63.7, I 7
- 2θ 64.3, I 8

Crystal structure
Cell: 6.542 6.542 5.833 Å, 103.58 103.58 25.50°
Fractional positions:
1 Fe 0.000 0.000 0.000
2 Co 0.331 0.331 0.662
3 Co 0.669 0.669 0.338
4 O 0.161 0.161 0.123
5 O 0.179 0.179 0.555
6 O 0.484 0.484 0.768
7 O 0.516 0.516 0.232
8 O 0.821 0.821 0.445
9 O 0.839 0.839 0.877